Record 1
VIrRh6: calculated X-ray diffraction stick pattern (Cu Kα (weighted mean of Kα1 and Kα2)), based on a DFT-relaxed cell (PBE, Alexandria).
Kinematic intensities with the Lorentz-polarization factor, no thermal factor.

Principal peaks in the range 10 to 90 degrees two-theta, sorted by position:
16.36 deg, intensity 10; 28.52 deg, intensity 7; 37.10 deg, intensity 4; 40.78 deg, intensity 100; 44.22 deg, intensity 4; 47.45 deg, intensity 48; 61.70 deg, intensity 2; 69.36 deg, intensity 30; 83.70 deg, intensity 36; 88.35 deg, intensity 11

Lattice parameters (Å, degrees): 5.4180 5.4180 3.8346 90.00 90.00 90.00
Sites, in units of the cell vectors:
V 0.0000 0.0000 0.0000
Ir 0.5000 0.5000 0.0000
Rh 0.0000 0.5000 0.0000
Rh 0.2470 0.2470 0.5000
Rh 0.2470 0.7530 0.5000
Rh 0.5000 0.0000 0.0000
Rh 0.7530 0.2470 0.5000
Rh 0.7530 0.7530 0.5000



Record 2
K6Co3Cl14: calculated X-ray diffraction stick pattern (Cu Kα (weighted mean of Kα1 and Kα2)), based on a DFT-relaxed cell (PBE, Alexandria).
Kinematic intensities with the Lorentz-polarization factor, no thermal factor.

Principal peaks in the range 10 to 90 degrees two-theta, sorted by position:
15.88 deg, intensity 100; 16.50 deg, intensity 82; 22.98 deg, intensity 71; 28.06 deg, intensity 74; 31.02 deg, intensity 70; 32.05 deg, intensity 48; 33.39 deg, intensity 66; 36.29 deg, intensity 39; 37.18 deg, intensity 42; 43.89 deg, intensity 33

Lattice parameters (Å, degrees): 11.1585 11.1585 6.4616 90.00 90.00 120.00
Sites, in units of the cell vectors:
K 0.0305 0.5697 0.0000
K 0.2967 0.0920 0.4815
K 0.4303 0.4608 0.0000
K 0.5392 0.9695 0.0000
K 0.7953 0.7033 0.4815
K 0.9080 0.2047 0.4815
Co 0.0000 0.0000 0.9118
Co 0.3333 0.6667 0.4213
Co 0.6667 0.3333 0.2659
Cl 0.0000 0.0000 0.2557
Cl 0.0681 0.8567 0.7885
Cl 0.1433 0.2114 0.7885
Cl 0.1980 0.4546 0.2968
Cl 0.2566 0.8020 0.2968
Cl 0.3333 0.6667 0.7654
Cl 0.4748 0.2084 0.0639
Cl 0.5403 0.3991 0.4652
Cl 0.5454 0.7434 0.2968
Cl 0.6009 0.1412 0.4652
Cl 0.7337 0.5252 0.0639
Cl 0.7886 0.9319 0.7885
Cl 0.7916 0.2663 0.0639
Cl 0.8588 0.4597 0.4652



Record 3
La3Nd3In2: calculated X-ray diffraction stick pattern (Cu Kα (weighted mean of Kα1 and Kα2)), based on a DFT-relaxed cell (PBE, Alexandria).
Kinematic intensities with the Lorentz-polarization factor, no thermal factor.

Principal peaks in the range 10 to 90 degrees two-theta, sorted by position:
27.89 deg, intensity 28; 31.26 deg, intensity 100; 34.33 deg, intensity 66; 49.34 deg, intensity 11; 51.50 deg, intensity 25; 53.59 deg, intensity 36; 57.62 deg, intensity 16; 67.03 deg, intensity 22; 80.91 deg, intensity 20; 85.93 deg, intensity 10

Lattice parameters (Å, degrees): 6.3985 6.3985 6.3985 90.01 90.01 90.01
Sites, in units of the cell vectors:
La 0.0000 0.2518 0.7482
La 0.2518 0.7482 0.0000
La 0.7482 0.0000 0.2518
Nd 0.2530 0.7470 0.5000
Nd 0.5000 0.2530 0.7470
Nd 0.7470 0.5000 0.2530
In 0.2517 0.2517 0.2517
In 0.7483 0.7483 0.7483



Record 4
Th3Os2: calculated X-ray diffraction stick pattern (Cu Kα (weighted mean of Kα1 and Kα2)), based on a DFT-relaxed cell (PBE, Alexandria).
Kinematic intensities with the Lorentz-polarization factor, no thermal factor.

Principal peaks in the range 10 to 90 degrees two-theta, sorted by position:
17.01 deg, intensity 17; 28.55 deg, intensity 100; 37.68 deg, intensity 72; 43.78 deg, intensity 52; 49.71 deg, intensity 23; 53.10 deg, intensity 19; 59.10 deg, intensity 20; 71.19 deg, intensity 16; 75.02 deg, intensity 22; 76.38 deg, intensity 19

Lattice parameters (Å, degrees): 7.6248 7.6248 7.6248 56.03 56.03 56.03
Sites, in units of the cell vectors:
Th 0.0874 0.7500 0.4126
Th 0.2500 0.5874 0.9126
Th 0.4126 0.0874 0.7500
Th 0.5874 0.9126 0.2500
Th 0.7500 0.4126 0.0874
Th 0.9126 0.2500 0.5874
Os 0.1682 0.1682 0.1682
Os 0.3318 0.3318 0.3318
Os 0.6682 0.6682 0.6682
Os 0.8318 0.8318 0.8318



Record 5
TbPr12Ho5: calculated X-ray diffraction stick pattern (Cu Kα (weighted mean of Kα1 and Kα2)), based on a DFT-relaxed cell (PBE, Alexandria).
Kinematic intensities with the Lorentz-polarization factor, no thermal factor.

Principal peaks in the range 10 to 90 degrees two-theta, sorted by position:
29.93 deg, intensity 100; 34.62 deg, intensity 34; 34.83 deg, intensity 17; 49.77 deg, intensity 12; 49.93 deg, intensity 24; 59.17 deg, intensity 29; 59.45 deg, intensity 14; 62.19 deg, intensity 12; 80.90 deg, intensity 6; 81.14 deg, intensity 12

Lattice parameters (Å, degrees): 10.9573 10.9573 5.1831 90.00 90.00 90.32
Sites, in units of the cell vectors:
Tb 0.0000 0.0000 0.0000
Pr 0.0020 0.6686 0.0000
Pr 0.1650 0.1650 0.5000
Pr 0.1690 0.5024 0.5000
Pr 0.3314 0.9980 0.0000
Pr 0.3360 0.3360 0.0000
Pr 0.4976 0.8310 0.5000
Pr 0.5024 0.1690 0.5000
Pr 0.6640 0.6640 0.0000
Pr 0.6686 0.0020 0.0000
Pr 0.8310 0.4976 0.5000
Pr 0.8350 0.8350 0.5000
Pr 0.9980 0.3314 0.0000
Ho 0.1668 0.8332 0.5000
Ho 0.3331 0.6669 0.0000
Ho 0.5000 0.5000 0.5000
Ho 0.6669 0.3331 0.0000
Ho 0.8332 0.1668 0.5000



Record 6
VAgP2Se6: calculated X-ray diffraction stick pattern (Cu Kα (weighted mean of Kα1 and Kα2)), based on a DFT-relaxed cell (PBE, Alexandria).
Kinematic intensities with the Lorentz-polarization factor, no thermal factor.

Principal peaks in the range 10 to 90 degrees two-theta, sorted by position:
12.19 deg, intensity 79; 24.53 deg, intensity 28; 28.03 deg, intensity 13; 29.02 deg, intensity 28; 32.22 deg, intensity 100; 32.74 deg, intensity 52; 43.28 deg, intensity 20; 43.77 deg, intensity 37; 49.01 deg, intensity 16; 49.28 deg, intensity 28

Lattice parameters (Å, degrees): 6.4286 6.4286 7.5311 97.61 97.61 120.35
Sites, in units of the cell vectors:
V 0.0000 0.0000 0.0000
Ag 0.3448 0.6552 0.0000
P 0.6274 0.2817 0.8474
P 0.7183 0.3726 0.1526
Se 0.0565 0.3575 0.2389
Se 0.2445 0.2100 0.7644
Se 0.3882 0.0837 0.2319
Se 0.6425 0.9435 0.7611
Se 0.7900 0.7555 0.2356
Se 0.9163 0.6118 0.7681



Record 7
Ac4Nd2Ho3: calculated X-ray diffraction stick pattern (Cu Kα (weighted mean of Kα1 and Kα2)), based on a DFT-relaxed cell (PBE, Alexandria).
Kinematic intensities with the Lorentz-polarization factor, no thermal factor.

Principal peaks in the range 10 to 90 degrees two-theta, sorted by position:
24.37 deg, intensity 34; 26.20 deg, intensity 22; 27.20 deg, intensity 39; 28.91 deg, intensity 100; 29.16 deg, intensity 43; 29.53 deg, intensity 37; 30.01 deg, intensity 20; 30.09 deg, intensity 82; 30.66 deg, intensity 89; 30.80 deg, intensity 35

Lattice parameters (Å, degrees): 7.6123 7.6729 12.2901 91.67 99.31 102.55
Sites, in units of the cell vectors:
Ac 0.0096 0.2507 0.2548
Ac 0.2498 0.0028 0.5004
Ac 0.2498 0.4950 0.9990
Ac 0.4884 0.7499 0.7482
Ac 0.5116 0.2501 0.2518
Ac 0.7502 0.5050 0.0010
Ac 0.7502 0.9972 0.4996
Ac 0.9904 0.7493 0.7452
Nd 0.1036 0.7940 0.2071
Nd 0.3765 0.6115 0.4156
Nd 0.6235 0.3885 0.5844
Nd 0.8964 0.2060 0.7929
Ho 0.1180 0.3881 0.5886
Ho 0.2546 0.9955 0.9970
Ho 0.3970 0.2078 0.7905
Ho 0.6030 0.7922 0.2095
Ho 0.7454 0.0045 0.0030
Ho 0.8820 0.6119 0.4114



Record 8
YMnBe17: calculated X-ray diffraction stick pattern (Cu Kα (weighted mean of Kα1 and Kα2)), based on a DFT-relaxed cell (PBE, Alexandria).
Kinematic intensities with the Lorentz-polarization factor, no thermal factor.

Principal peaks in the range 10 to 90 degrees two-theta, sorted by position:
15.86 deg, intensity 62; 21.26 deg, intensity 39; 23.69 deg, intensity 93; 24.49 deg, intensity 30; 28.64 deg, intensity 24; 34.33 deg, intensity 100; 41.65 deg, intensity 39; 48.47 deg, intensity 33; 48.91 deg, intensity 60; 71.32 deg, intensity 24

Lattice parameters (Å, degrees): 5.6588 5.6588 5.6588 83.17 83.17 83.17
Sites, in units of the cell vectors:
Y 0.0000 0.0000 0.0000
Mn 0.3299 0.3299 0.3299
Be 0.0063 0.0063 0.4963
Be 0.0063 0.4963 0.0063
Be 0.1550 0.6612 0.6612
Be 0.3184 0.3184 0.7999
Be 0.3184 0.7999 0.3184
Be 0.3704 0.6516 0.9528
Be 0.3704 0.9528 0.6516
Be 0.4963 0.0063 0.0063
Be 0.5562 0.5562 0.5562
Be 0.6516 0.3704 0.9528
Be 0.6516 0.9528 0.3704
Be 0.6612 0.1550 0.6612
Be 0.6612 0.6612 0.1550
Be 0.7513 0.7513 0.7513
Be 0.7999 0.3184 0.3184
Be 0.9528 0.3704 0.6516
Be 0.9528 0.6516 0.3704



Record 9
Pa4Sb2Se5: calculated X-ray diffraction stick pattern (Cu Kα (weighted mean of Kα1 and Kα2)), based on a DFT-relaxed cell (PBE, Alexandria).
Kinematic intensities with the Lorentz-polarization factor, no thermal factor.

Principal peaks in the range 10 to 90 degrees two-theta, sorted by position:
13.85 deg, intensity 33; 15.78 deg, intensity 55; 22.06 deg, intensity 39; 27.85 deg, intensity 77; 32.21 deg, intensity 38; 33.25 deg, intensity 42; 35.75 deg, intensity 100; 35.96 deg, intensity 47; 41.26 deg, intensity 39; 44.39 deg, intensity 42

Lattice parameters (Å, degrees): 12.7306 12.7306 6.3992 92.04 92.04 18.45
Sites, in units of the cell vectors:
Pa 0.0511 0.0511 0.2864
Pa 0.3297 0.3297 0.9981
Pa 0.6703 0.6703 0.0019
Pa 0.9489 0.9489 0.7136
Sb 0.0770 0.0770 0.8238
Sb 0.9230 0.9230 0.1762
Se 0.1611 0.1611 0.3141
Se 0.2248 0.2248 0.7871
Se 0.5000 0.5000 0.5000
Se 0.7752 0.7752 0.2129
Se 0.8389 0.8389 0.6859



Record 10
Cs2HfBeBr6: calculated X-ray diffraction stick pattern (Cu Kα (weighted mean of Kα1 and Kα2)), based on a DFT-relaxed cell (PBE, Alexandria).
Kinematic intensities with the Lorentz-polarization factor, no thermal factor.

Principal peaks in the range 10 to 90 degrees two-theta, sorted by position:
13.15 deg, intensity 70; 21.55 deg, intensity 50; 26.48 deg, intensity 72; 30.67 deg, intensity 100; 37.79 deg, intensity 19; 40.18 deg, intensity 26; 43.92 deg, intensity 69; 52.02 deg, intensity 26; 54.52 deg, intensity 22; 72.49 deg, intensity 26

Lattice parameters (Å, degrees): 8.2461 8.2461 8.2461 60.00 60.00 60.00
Sites, in units of the cell vectors:
Cs 0.2500 0.2500 0.2500
Cs 0.7500 0.7500 0.7500
Hf 0.0000 0.0000 0.0000
Be 0.5000 0.5000 0.5000
Br 0.2261 0.2261 0.7739
Br 0.2261 0.7739 0.2261
Br 0.2261 0.7739 0.7739
Br 0.7739 0.2261 0.2261
Br 0.7739 0.2261 0.7739
Br 0.7739 0.7739 0.2261



Record 11
Cs2SbSBr3: calculated X-ray diffraction stick pattern (Cu Kα (weighted mean of Kα1 and Kα2)), based on a DFT-relaxed cell (PBE, Alexandria).
Kinematic intensities with the Lorentz-polarization factor, no thermal factor.

Principal peaks in the range 10 to 90 degrees two-theta, sorted by position:
22.30 deg, intensity 30; 22.88 deg, intensity 100; 29.12 deg, intensity 41; 29.66 deg, intensity 26; 30.10 deg, intensity 66; 30.89 deg, intensity 56; 34.19 deg, intensity 42; 37.35 deg, intensity 26; 42.97 deg, intensity 27; 46.74 deg, intensity 34

Lattice parameters (Å, degrees): 9.9944 9.9944 9.9944 149.58 146.33 46.01
Sites, in units of the cell vectors:
Cs 0.1387 0.1387 0.0000
Cs 0.8613 0.8613 0.0000
Sb 0.5000 0.5000 0.0000
S 0.5000 0.0000 0.5000
Br 0.0000 0.5000 0.5000
Br 0.3413 0.3413 0.0000
Br 0.6587 0.6587 0.0000



Record 12
BaMoOs: calculated X-ray diffraction stick pattern (Cu Kα (weighted mean of Kα1 and Kα2)), based on a DFT-relaxed cell (PBE, Alexandria).
Kinematic intensities with the Lorentz-polarization factor, no thermal factor.

Principal peaks in the range 10 to 90 degrees two-theta, sorted by position:
16.30 deg, intensity 19; 29.61 deg, intensity 100; 32.95 deg, intensity 25; 43.21 deg, intensity 38; 53.26 deg, intensity 19; 55.39 deg, intensity 34; 56.79 deg, intensity 16; 70.91 deg, intensity 17; 88.53 deg, intensity 10; 89.69 deg, intensity 10

Lattice parameters (Å, degrees): 4.1872 4.1872 5.4373 90.00 90.00 120.00
Sites, in units of the cell vectors:
Ba 0.0000 0.0000 0.0000
Mo 0.6667 0.3333 0.4821
Os 0.3333 0.6667 0.5324